1.
# Mg2Mn3O8
Computed X-ray powder pattern, Cu Kα (λ = 1.5418 Å). Input: a DFT-relaxed cell (GGA+U, Alexandria).

The 8 most intense peaks (5 to 70 degrees two-theta), sorted by position:
- hkl 0 2 0, d = 5.729 Å, I = 27
- hkl 0 2 1, d = 4.744 Å, I = 100
- hkl 1 3 1, d = 2.994 Å, I = 50
- hkl 0 2 3, d = 2.531 Å, I = 32
- hkl 2 2 1, d = 2.495 Å, I = 69
- hkl 0 0 4, d = 2.116 Å, I = 28
- hkl 2 4 0, d = 2.049 Å, I = 51
- hkl 2 4 4, d = 1.472 Å, I = 50

Cell and atoms:
```
data_Mg2Mn3O8
_chemical_formula_sum 'Mg8 Mn12 O32'
_cell_length_a 5.866
_cell_length_b 11.457
_cell_length_c 8.466
_cell_angle_alpha 90.00
_cell_angle_beta 90.00
_cell_angle_gamma 90.00
_space_group_name_H-M_alt 'C m c e'
_space_group_IT_number 64
_space_group_name_Hall '-C 2ac 2'
loop_
_atom_site_label
_atom_site_type_symbol
_atom_site_fract_x
_atom_site_fract_y
_atom_site_fract_z
_atom_site_occupancy
Mg1 Mg 0.000 0.144 0.104 1
Mn1 Mn 0.000 0.000 0.500 1
Mn2 Mn 0.250 0.120 0.750 1
O1 O 0.000 0.000 0.265 1
O2 O 0.000 0.227 0.761 1
O3 O 0.232 0.114 0.527 1
```

=====

2.
# Mg2Mn9O13
Computed X-ray powder pattern, Cu Kα (λ = 1.5418 Å). Input: a DFT-relaxed cell (GGA+U, Alexandria).

The 8 most intense peaks (5 to 70 degrees two-theta), sorted by position:
- hkl 0 0 2, d = 8.676 Å, I = 61
- hkl 0 1 -5, d = 3.075 Å, I = 38
- hkl 1 -1 1, d = 2.803 Å, I = 49
- hkl 0 1 5, d = 2.682 Å, I = 100
- hkl 1 1 -1, d = 2.614 Å, I = 44
- hkl 1 1 -2, d = 2.585 Å, I = 64
- hkl 0 1 6, d = 2.365 Å, I = 37
- hkl 1 -2 4, d = 1.928 Å, I = 29

Cell and atoms:
```
data_Mg2Mn9O13
_chemical_formula_sum 'Mg2 Mn9 O13'
_cell_length_a 3.230
_cell_length_b 5.118
_cell_length_c 17.583
_cell_angle_alpha 97.87
_cell_angle_beta 94.21
_cell_angle_gamma 95.25
_space_group_name_H-M_alt 'P -1'
_space_group_IT_number 2
_space_group_name_Hall '-P 1'
loop_
_atom_site_label
_atom_site_type_symbol
_atom_site_fract_x
_atom_site_fract_y
_atom_site_fract_z
_atom_site_occupancy
Mg1 Mg 0.085 0.473 0.226 1
Mn1 Mn 0.000 0.000 0.500 1
Mn2 Mn 0.178 0.296 0.040 1
Mn3 Mn 0.299 0.514 0.417 1
Mn4 Mn 0.365 0.992 0.679 1
Mn5 Mn 0.416 0.103 0.871 1
O1 O 0.116 0.226 0.601 1
O2 O 0.138 0.174 0.140 1
O3 O 0.168 0.415 0.937 1
O4 O 0.173 0.272 0.316 1
O5 O 0.363 0.732 0.530 1
O6 O 0.388 0.292 0.773 1
O7 O 0.500 0.000 0.000 1
```

=====

3.
# MgMn4O5
Computed X-ray powder pattern, Cu Kα (λ = 1.5418 Å). Input: a DFT-relaxed cell (GGA+U, Alexandria).

The 8 most intense peaks (5 to 70 degrees two-theta), sorted by position:
- hkl 1 1 0, d = 4.999 Å, I = 4
- hkl 1 0 1, d = 3.774 Å, I = 4
- hkl 2 0 0, d = 3.535 Å, I = 2
- hkl 1 2 1, d = 2.580 Å, I = 54
- hkl 0 0 2, d = 2.234 Å, I = 100
- hkl 3 1 2, d = 1.580 Å, I = 58
- hkl 5 0 1, d = 1.348 Å, I = 14
- hkl 1 2 3, d = 1.346 Å, I = 7

Cell and atoms:
```
data_MgMn4O5
_chemical_formula_sum 'Mg2 Mn8 O10'
_cell_length_a 7.070
_cell_length_b 7.070
_cell_length_c 4.463
_cell_angle_alpha 90.00
_cell_angle_beta 90.00
_cell_angle_gamma 90.00
_space_group_name_H-M_alt 'I 4/m'
_space_group_IT_number 87
_space_group_name_Hall '-I 4'
loop_
_atom_site_label
_atom_site_type_symbol
_atom_site_fract_x
_atom_site_fract_y
_atom_site_fract_z
_atom_site_occupancy
Mg1 Mg 0.000 0.000 0.000 1
Mn1 Mn 0.099 0.701 0.500 1
O1 O 0.000 0.000 0.500 1
O2 O 0.094 0.709 0.000 1
```

=====

4.
# Mg2Mn3O8
Computed X-ray powder pattern, Cu Kα (λ = 1.5418 Å). Input: a DFT-relaxed cell (GGA+U, Alexandria).

The 8 most intense peaks (5 to 70 degrees two-theta), sorted by position:
- hkl 0 0 2, d = 4.737 Å, I = 100
- hkl 1 1 2, d = 2.963 Å, I = 44
- hkl 2 0 2, d = 2.493 Å, I = 20
- hkl 2 1 1, d = 2.442 Å, I = 41
- hkl 2 1 2, d = 2.230 Å, I = 25
- hkl 2 1 3, d = 1.973 Å, I = 32
- hkl 2 1 5, d = 1.516 Å, I = 34
- hkl 2 3 0, d = 1.445 Å, I = 24

Cell and atoms:
```
data_Mg2Mn3O8
_chemical_formula_sum 'Mg4 Mn6 O16'
_cell_length_a 5.864
_cell_length_b 4.984
_cell_length_c 9.474
_cell_angle_alpha 90.00
_cell_angle_beta 90.00
_cell_angle_gamma 90.00
_space_group_name_H-M_alt 'P m n 21'
_space_group_IT_number 31
_space_group_name_Hall 'P 2ac -2'
loop_
_atom_site_label
_atom_site_type_symbol
_atom_site_fract_x
_atom_site_fract_y
_atom_site_fract_z
_atom_site_occupancy
Mg1 Mg 0.000 0.173 0.000 1
Mg2 Mg 0.000 0.180 0.400 1
Mn1 Mn 0.000 0.820 0.679 1
Mn2 Mn 0.241 0.673 0.182 1
O1 O 0.000 0.153 0.788 1
O2 O 0.000 0.487 0.573 1
O3 O 0.000 0.548 0.068 1
O4 O 0.000 0.818 0.289 1
O5 O 0.220 0.012 0.561 1
O6 O 0.238 0.651 0.784 1
```

=====

Copy entry 1 word for word.
# Mg2Mn3O8
Computed X-ray powder pattern, Cu Kα (λ = 1.5418 Å). Input: a DFT-relaxed cell (GGA+U, Alexandria).

The 8 most intense peaks (5 to 70 degrees two-theta), sorted by position:
- hkl 0 2 0, d = 5.729 Å, I = 27
- hkl 0 2 1, d = 4.744 Å, I = 100
- hkl 1 3 1, d = 2.994 Å, I = 50
- hkl 0 2 3, d = 2.531 Å, I = 32
- hkl 2 2 1, d = 2.495 Å, I = 69
- hkl 0 0 4, d = 2.116 Å, I = 28
- hkl 2 4 0, d = 2.049 Å, I = 51
- hkl 2 4 4, d = 1.472 Å, I = 50

Cell and atoms:
```
data_Mg2Mn3O8
_chemical_formula_sum 'Mg8 Mn12 O32'
_cell_length_a 5.866
_cell_length_b 11.457
_cell_length_c 8.466
_cell_angle_alpha 90.00
_cell_angle_beta 90.00
_cell_angle_gamma 90.00
_space_group_name_H-M_alt 'C m c e'
_space_group_IT_number 64
_space_group_name_Hall '-C 2ac 2'
loop_
_atom_site_label
_atom_site_type_symbol
_atom_site_fract_x
_atom_site_fract_y
_atom_site_fract_z
_atom_site_occupancy
Mg1 Mg 0.000 0.144 0.104 1
Mn1 Mn 0.000 0.000 0.500 1
Mn2 Mn 0.250 0.120 0.750 1
O1 O 0.000 0.000 0.265 1
O2 O 0.000 0.227 0.761 1
O3 O 0.232 0.114 0.527 1
```

=====

Copy entry 3 word for word.
# MgMn4O5
Computed X-ray powder pattern, Cu Kα (λ = 1.5418 Å). Input: a DFT-relaxed cell (GGA+U, Alexandria).

The 8 most intense peaks (5 to 70 degrees two-theta), sorted by position:
- hkl 1 1 0, d = 4.999 Å, I = 4
- hkl 1 0 1, d = 3.774 Å, I = 4
- hkl 2 0 0, d = 3.535 Å, I = 2
- hkl 1 2 1, d = 2.580 Å, I = 54
- hkl 0 0 2, d = 2.234 Å, I = 100
- hkl 3 1 2, d = 1.580 Å, I = 58
- hkl 5 0 1, d = 1.348 Å, I = 14
- hkl 1 2 3, d = 1.346 Å, I = 7

Cell and atoms:
```
data_MgMn4O5
_chemical_formula_sum 'Mg2 Mn8 O10'
_cell_length_a 7.070
_cell_length_b 7.070
_cell_length_c 4.463
_cell_angle_alpha 90.00
_cell_angle_beta 90.00
_cell_angle_gamma 90.00
_space_group_name_H-M_alt 'I 4/m'
_space_group_IT_number 87
_space_group_name_Hall '-I 4'
loop_
_atom_site_label
_atom_site_type_symbol
_atom_site_fract_x
_atom_site_fract_y
_atom_site_fract_z
_atom_site_occupancy
Mg1 Mg 0.000 0.000 0.000 1
Mn1 Mn 0.099 0.701 0.500 1
O1 O 0.000 0.000 0.500 1
O2 O 0.094 0.709 0.000 1
```